ThUMn4Si4: calculated powder X-ray diffraction pattern (Cu Ka), based on the GGA-PBE geometry in the Materials Project.
No peak broadening, texture or thermal motion is included.

Crystal structure
abc: 3.9611 3.9611 10.1926
angles: 90.00 90.00 90.00
Space group P4/mmm (No. 123)
One atom of each set of equivalent atoms:
Th1 0.0000 0.0000 0.0000 [1 per cell]
U1 0.5000 0.5000 0.5000 [1 per cell]
Mn1 0.0000 0.5000 0.2573 [4 per cell]
Si1 0.0000 0.0000 0.3826 [2 per cell]
Si2 0.5000 0.5000 0.1260 [2 per cell]

Largest 10 diffraction maxima, low angle first, 10° ≤ 2θ ≤ 80°:
2θ/deg, d [Å], I/Imax, h k l
24.10, 3.692, 82, 1 0 1
34.79, 2.579, 69, 1 0 3
35.22, 2.548, 19, 0 0 4
36.61, 2.455, 100, 1 1 2
45.81, 1.981, 36, 2 0 0
50.34, 1.813, 26, 1 0 5
52.43, 1.745, 22, 2 1 1
58.78, 1.571, 31, 2 1 3
70.42, 1.337, 19, 2 1 5
78.66, 1.216, 21, 3 1 2


Ti2Mn4Si5: calculated powder X-ray diffraction pattern (Cu Ka), based on the GGA-PBE geometry in the Materials Project.
No peak broadening, texture or thermal motion is included.

Crystal structure
abc: 7.2528 16.4775 4.8351
angles: 90.00 90.00 90.00
Space group Ibam (No. 72)
One atom of each set of equivalent atoms:
Ti1 0.0000 0.1880 0.2500 [8 per cell]
Mn1 0.1304 0.3446 0.0000 [8 per cell]
Mn2 0.2458 0.0633 0.0000 [8 per cell]
Si1 0.0000 0.5000 0.2500 [4 per cell]
Si2 0.1012 0.0596 0.5000 [8 per cell]
Si3 0.1895 0.2961 0.5000 [8 per cell]

Largest 10 diffraction maxima, low angle first, 10° ≤ 2θ ≤ 80°:
2θ/deg, d [Å], I/Imax, h k l
31.07, 2.878, 36, 1 4 1
37.19, 2.418, 34, 0 0 2
39.74, 2.268, 45, 1 6 1
40.28, 2.239, 28, 1 7 0
40.78, 2.213, 71, 3 3 0
41.47, 2.178, 56, 2 5 1
42.72, 2.116, 100, 1 3 2
43.26, 2.092, 71, 3 2 1
43.96, 2.060, 32, 0 8 0
45.07, 2.012, 58, 2 0 2